[1]
For SmAg, a crystal structure in the Materials Project, relaxed with GGA-PBE gives the theoretical powder XRD pattern in this record (Cu Ka).
No peak broadening, texture or thermal motion is included.

Main lines, sorted by position (2θ from 10° to 80°):
d_spacing	I (rel.)
3.719	2
2.629	100
2.147	1
1.859	18
1.663	1
1.518	36
1.315	11
1.240	1

Structure:
Lattice parameters (Å, degrees): 3.719 3.719 3.719 90.00 90.00 90.00
Element x y z (fractional)
Sm  0.000  0.000  0.000
Ag  0.500  0.500  0.500

***

[2]
For Sm3Ag4Sn4, a crystal structure in the Materials Project, relaxed with GGA-PBE gives the theoretical powder XRD pattern in this record (Cu Ka).
No peak broadening, texture or thermal motion is included.

Main lines, sorted by position (2θ from 10° to 80°):
d_spacing	I (rel.)
2.862	27
2.851	100
2.765	91
2.584	29
2.530	18
2.328	47
2.230	30
2.120	35
2.102	17
1.611	21
1.414	19
1.328	18

Structure:
Lattice parameters (Å, degrees): 8.905 8.905 8.905 149.69 130.78 58.90
Element x y z (fractional)
Sm  0.000  0.000  0.000
Sm  0.371  0.871  0.500
Sm  0.629  0.129  0.500
Ag  0.025  0.330  0.694
Ag  0.364  0.670  0.694
Ag  0.636  0.330  0.306
Ag  0.975  0.670  0.306
Sn  0.216  0.216  0.000
Sn  0.306  0.500  0.806
Sn  0.694  0.500  0.194
Sn  0.784  0.784  0.000

***

[3]
For Sm2AgSn, a crystal structure in the Materials Project, relaxed with GGA-PBE gives the theoretical powder XRD pattern in this record (Cu Ka).
No peak broadening, texture or thermal motion is included.

Main lines, sorted by position (2θ from 10° to 80°):
d_spacing	I (rel.)
3.779	2
2.672	100
2.182	1
1.889	18
1.690	1
1.543	37
1.336	12

Structure:
Lattice parameters (Å, degrees): 7.557 7.557 7.557 90.00 90.00 90.00
Element x y z (fractional)
Sm  0.250  0.250  0.250
Sm  0.250  0.250  0.750
Sm  0.250  0.750  0.250
Sm  0.250  0.750  0.750
Sm  0.750  0.250  0.250
Sm  0.750  0.250  0.750
Sm  0.750  0.750  0.250
Sm  0.750  0.750  0.750
Ag  0.000  0.000  0.000
Ag  0.000  0.500  0.500
Ag  0.500  0.000  0.500
Ag  0.500  0.500  0.000
Sn  0.000  0.000  0.500
Sn  0.000  0.500  0.000
Sn  0.500  0.000  0.000
Sn  0.500  0.500  0.500

***

[4]
For SmTlAg2, a crystal structure in the Materials Project, relaxed with GGA-PBE gives the theoretical powder XRD pattern in this record (Cu Ka).
No peak broadening, texture or thermal motion is included.

Main lines, sorted by position (2θ from 10° to 80°):
d_spacing	I (rel.)
4.134	2
3.580	6
2.531	100
2.159	1
2.067	2
1.790	18
1.601	3
1.461	36
1.266	11

Structure:
Lattice parameters (Å, degrees): 7.160 7.160 7.160 90.00 90.00 90.00
Element x y z (fractional)
Sm  0.000  0.000  0.000
Sm  0.000  0.500  0.500
Sm  0.500  0.000  0.500
Sm  0.500  0.500  0.000
Tl  0.000  0.000  0.500
Tl  0.000  0.500  0.000
Tl  0.500  0.000  0.000
Tl  0.500  0.500  0.500
Ag  0.250  0.250  0.250
Ag  0.250  0.250  0.750
Ag  0.250  0.750  0.250
Ag  0.250  0.750  0.750
Ag  0.750  0.250  0.250
Ag  0.750  0.250  0.750
Ag  0.750  0.750  0.250
Ag  0.750  0.750  0.750

***

[5]
For Sm2TlAg, a crystal structure in the Materials Project, relaxed with GGA-PBE gives the theoretical powder XRD pattern in this record (Cu Ka).
No peak broadening, texture or thermal motion is included.

Main lines, sorted by position (2θ from 10° to 80°):
d_spacing	I (rel.)
4.392	4
2.690	100
2.294	3
1.902	18
1.745	1
1.553	38
1.464	1
1.345	12
1.286	1
1.203	16

Structure:
Lattice parameters (Å, degrees): 7.607 7.607 7.607 90.00 90.00 90.00
Element x y z (fractional)
Sm  0.250  0.250  0.250
Sm  0.250  0.250  0.750
Sm  0.250  0.750  0.250
Sm  0.250  0.750  0.750
Sm  0.750  0.250  0.250
Sm  0.750  0.250  0.750
Sm  0.750  0.750  0.250
Sm  0.750  0.750  0.750
Tl  0.000  0.000  0.000
Tl  0.000  0.500  0.500
Tl  0.500  0.000  0.500
Tl  0.500  0.500  0.000
Ag  0.000  0.000  0.500
Ag  0.000  0.500  0.000
Ag  0.500  0.000  0.000
Ag  0.500  0.500  0.500